(1)
Structure and theoretical powder diffraction line list of Mg3Ir (a cell relaxed with GGA-PBE; Cu Kα X-rays).

Largest 10 diffraction maxima, low angle first, 10° ≤ 2θ ≤ 90°:
2θ = 18.88°, rel. 59
2θ = 21.52°, rel. 94
2θ = 28.81°, rel. 38
2θ = 33.55°, rel. 28
2θ = 38.30°, rel. 24
2θ = 38.77°, rel. 100
2θ = 39.20°, rel. 25
2θ = 39.77°, rel. 24
2θ = 55.99°, rel. 25
2θ = 70.78°, rel. 21

Atomic structure:
a b c (Å): 3.2829 4.5962 9.3993
angles (deg): 90.00 90.00 90.00
Fractional positions:
Mg 0.0000 0.0000 0.0000
Mg 0.0000 0.5000 0.2244
Mg 0.0000 0.5000 0.7756
Mg 0.5000 0.0000 0.2756
Mg 0.5000 0.0000 0.7244
Mg 0.5000 0.5000 0.5000
Ir 0.0000 0.0000 0.5000
Ir 0.5000 0.5000 0.0000

(2)
Structure and theoretical powder diffraction line list of Tb6Er2Ga (a cell relaxed with GGA-PBE; Cu Kα X-rays).

Largest 10 diffraction maxima, low angle first, 10° ≤ 2θ ≤ 90°:
2θ = 27.61°, rel. 41
2θ = 31.36°, rel. 100
2θ = 32.93°, rel. 19
2θ = 33.16°, rel. 97
2θ = 33.71°, rel. 66
2θ = 37.93°, rel. 24
2θ = 38.45°, rel. 36
2θ = 53.95°, rel. 19
2θ = 56.98°, rel. 20
2θ = 62.99°, rel. 31

Atomic structure:
a b c (Å): 9.7169 9.7169 3.5233
angles (deg): 90.00 90.00 123.49
Fractional positions:
Tb 0.0096 0.3343 0.0000
Tb 0.2852 0.2852 0.5000
Tb 0.3343 0.0096 0.0000
Tb 0.6657 0.9904 0.0000
Tb 0.7148 0.7148 0.5000
Tb 0.9904 0.6657 0.0000
Er 0.3218 0.6782 0.5000
Er 0.6782 0.3218 0.5000
Ga 0.0000 0.0000 0.0000